Starting from DFT lattice parameters and positions (GGA-PBE), the XRD peak list of ErCdP2Rh5 was simulated for Cu Kα X-rays.
Lines closer than 0.1° are merged.

Main lines, by intensity (2θ from 10° to 90°):
| d/Å | I/Imax |
| --- | --- |
| 2.482 | 100 |
| 1.991 | 50 |
| 3.506 | 44 |
| 2.720 | 38 |
| 1.686 | 36 |
| 3.175 | 27 |
| 1.922 | 24 |
| 1.731 | 23 |
| 1.225 | 21 |
| 2.195 | 17 |

Unit cell a=3.9821 b=3.9821 c=10.5189 alpha=90.00 beta=90.00 gamma=90.00
Fractional positions:
Er (0.0000, 0.0000, 0.0000)
Cd (0.0000, 0.0000, 0.5000)
P (0.5000, 0.5000, 0.2142)
P (0.5000, 0.5000, 0.7858)
Rh (0.0000, 0.5000, 0.3148)
Rh (0.0000, 0.5000, 0.6852)
Rh (0.5000, 0.0000, 0.3148)
Rh (0.5000, 0.0000, 0.6852)
Rh (0.5000, 0.5000, 0.0000)

=====

Starting from DFT lattice parameters and positions (GGA-PBE), the XRD peak list of CaPr8Er5 was simulated for Cu Kα X-rays.
Lines closer than 0.1° are merged.

Main lines, by intensity (2θ from 10° to 90°):
| d/Å | I/Imax |
| --- | --- |
| 2.725 | 100 |
| 3.100 | 60 |
| 3.119 | 56 |
| 2.631 | 40 |
| 3.279 | 36 |
| 2.665 | 29 |
| 1.516 | 26 |
| 2.887 | 24 |
| 1.708 | 22 |
| 1.550 | 17 |

Unit cell a=8.6773 b=8.6773 c=8.6773 alpha=111.20 beta=111.20 gamma=106.06
Fractional positions:
Ca (0.0000, 0.0000, 0.0000)
Pr (0.0960, 0.6742, 0.7660)
Pr (0.2776, 0.5218, 0.1034)
Pr (0.3258, 0.0918, 0.4218)
Pr (0.4184, 0.1742, 0.8966)
Pr (0.4782, 0.5816, 0.7558)
Pr (0.6699, 0.9040, 0.5782)
Pr (0.8258, 0.7224, 0.2442)
Pr (0.9082, 0.3301, 0.2340)
Er (0.0238, 0.2123, 0.5909)
Er (0.2500, 0.7500, 0.5000)
Er (0.5670, 0.9762, 0.1885)
Er (0.6214, 0.4330, 0.4091)
Er (0.7877, 0.3786, 0.8115)

=====

Starting from DFT lattice parameters and positions (GGA-PBE), the XRD peak list of SmDyHo2Tl4 was simulated for Cu Kα X-rays.
Lines closer than 0.1° are merged.

Main lines, by intensity (2θ from 10° to 90°):
| d/Å | I/Imax |
| --- | --- |
| 2.692 | 100 |
| 1.554 | 29 |
| 1.904 | 18 |
| 1.204 | 17 |
| 1.557 | 10 |
| 1.347 | 6 |
| 1.345 | 6 |
| 1.099 | 3 |
| 3.808 | 1 |
| 1.101 | 1 |

Unit cell a=9.3395 b=9.3395 c=9.3395 alpha=33.48 beta=33.48 gamma=33.48
Fractional positions:
Sm (0.0000, 0.0000, 0.0000)
Dy (0.5000, 0.5000, 0.5000)
Ho (0.2496, 0.2496, 0.2496)
Ho (0.7504, 0.7504, 0.7504)
Tl (0.1259, 0.1259, 0.1259)
Tl (0.3759, 0.3759, 0.3759)
Tl (0.6241, 0.6241, 0.6241)
Tl (0.8741, 0.8741, 0.8741)

=====

Starting from DFT lattice parameters and positions (GGA-PBE), the XRD peak list of LiPr2Rh3O8 was simulated for Cu Kα X-rays.
Lines closer than 0.1° are merged.

Main lines, by intensity (2θ from 10° to 90°):
| d/Å | I/Imax |
| --- | --- |
| 2.319 | 100 |
| 5.454 | 78 |
| 2.662 | 70 |
| 4.639 | 39 |
| 1.626 | 36 |
| 2.775 | 34 |
| 5.325 | 27 |
| 1.655 | 22 |
| 2.727 | 22 |
| 3.310 | 21 |

Unit cell a=6.6213 b=6.6213 c=6.6213 alpha=58.82 beta=58.82 gamma=58.82
Fractional positions:
Li (0.0000, 0.0000, 0.0000)
Pr (0.1826, 0.1826, 0.1826)
Pr (0.6658, 0.6658, 0.6658)
Rh (0.1567, 0.6472, 0.6472)
Rh (0.6472, 0.1567, 0.6472)
Rh (0.6472, 0.6472, 0.1567)
O (0.4148, 0.4148, 0.8334)
O (0.4148, 0.8334, 0.4148)
O (0.4148, 0.9193, 0.9193)
O (0.4249, 0.4249, 0.4249)
O (0.8334, 0.4148, 0.4148)
O (0.8775, 0.8775, 0.8775)
O (0.9193, 0.4148, 0.9193)
O (0.9193, 0.9193, 0.4148)

=====

Starting from DFT lattice parameters and positions (GGA-PBE), the XRD peak list of Np4NiGe8 was simulated for Cu Kα X-rays.
Lines closer than 0.1° are merged.

Main lines, by intensity (2θ from 10° to 90°):
| d/Å | I/Imax |
| --- | --- |
| 2.528 | 100 |
| 3.566 | 26 |
| 2.504 | 22 |
| 2.086 | 19 |
| 2.003 | 17 |
| 2.609 | 16 |
| 4.031 | 16 |
| 2.186 | 13 |
| 2.841 | 12 |
| 1.274 | 12 |

Unit cell a=4.0058 b=4.1718 c=15.6515 alpha=90.00 beta=90.00 gamma=90.00
Fractional positions:
Np (0.0000, 0.0000, 0.0000)
Np (0.0000, 0.5000, 0.4925)
Np (0.5000, 0.0000, 0.2027)
Np (0.5000, 0.5000, 0.6969)
Ni (0.5000, 0.5000, 0.9104)
Ge (0.0000, 0.0000, 0.3485)
Ge (0.0000, 0.0000, 0.6465)
Ge (0.0000, 0.5000, 0.1653)
Ge (0.0000, 0.5000, 0.8344)
Ge (0.5000, 0.0000, 0.5353)
Ge (0.5000, 0.0000, 0.8370)
Ge (0.5000, 0.5000, 0.0588)
Ge (0.5000, 0.5000, 0.3477)

=====

Starting from DFT lattice parameters and positions (GGA-PBE), the XRD peak list of Mg3Zn was simulated for Cu Kα X-rays.
Lines closer than 0.1° are merged.

Main lines, by intensity (2θ from 10° to 90°):
| d/Å | I/Imax |
| --- | --- |
| 2.497 | 100 |
| 2.469 | 95 |
| 6.471 | 62 |
| 2.314 | 39 |
| 2.306 | 39 |
| 1.472 | 36 |
| 3.294 | 24 |
| 1.910 | 22 |
| 2.330 | 20 |
| 3.821 | 14 |

Unit cell a=3.3000 b=3.8205 c=6.4711 alpha=90.00 beta=90.19 gamma=90.00
Fractional positions:
Mg (0.0000, 0.0000, 0.0000)
Mg (0.4972, 0.5000, 0.7298)
Mg (0.5028, 0.5000, 0.2702)
Zn (0.0000, 0.0000, 0.5000)